Computed powder X-ray diffraction pattern
Compound: InHg5Pb2
Radiation: a wavelength of 1.5418 Å
Structure: a crystal structure in Alexandria, relaxed with GGA-PBE

Most intense lines, 10° ≤ 2θ ≤ 80°, by angle:
| hkl | Position (°2θ) | Rel. int. |
| --- | --- | --- |
| 2 0 1 | 31.58 | 100 |
| 0 4 1 | 33.21 | 69 |
| 1 4 1 | 35.64 | 24 |
| 2 4 0 | 37.51 | 44 |
| 0 0 2 | 37.75 | 36 |
| 2 4 2 | 54.28 | 31 |

Structure:
a = 7.047 Å, b = 13.087 Å, c = 4.766 Å
α = 90.00°, β = 90.00°, γ = 90.00°
Space group Pbam (No. 55)
One atom of each set of equivalent atoms:
In 0.000 0.000 0.000 (multiplicity 2)
Hg 0.000 0.500 0.000 (multiplicity 2)
Hg 0.038 0.247 0.000 (multiplicity 4)
Hg 0.232 0.907 0.500 (multiplicity 4)
Pb 0.212 0.659 0.500 (multiplicity 4)

Computed powder X-ray diffraction pattern
Compound: LiPm3Al2
Radiation: a wavelength of 1.5418 Å
Structure: a crystal structure in Alexandria, relaxed with GGA-PBE

Most intense lines, 10° ≤ 2θ ≤ 80°, by angle:
| hkl | Position (°2θ) | Rel. int. |
| --- | --- | --- |
| 0 1 2 | 23.91 | 72 |
| 1 1 0 | 34.07 | 100 |
| 2 0 2 | 42.09 | 16 |
| 0 2 4 | 48.95 | 18 |
| 1 2 2 | 55.24 | 15 |
| 3 0 0 | 61.03 | 28 |

Structure:
a = 5.2567 Å, b = 5.2567 Å, c = 12.9259 Å
α = 90.00°, β = 90.00°, γ = 120.00°
Space group P-3m1 (No. 164)
One atom of each set of equivalent atoms:
Li 0.3333 0.6667 0.1691 (multiplicity 2)
Pm 0.0000 0.0000 0.2542 (multiplicity 2)
Pm 0.3333 0.6667 0.4186 (multiplicity 2)
Pm 0.3333 0.6667 0.9155 (multiplicity 2)
Al 0.0000 0.0000 0.0000 (multiplicity 1)
Al 0.0000 0.0000 0.5000 (multiplicity 1)
Al 0.3333 0.6667 0.6719 (multiplicity 2)

Computed powder X-ray diffraction pattern
Compound: PmHfPa2N4
Radiation: a wavelength of 1.5418 Å
Structure: a crystal structure in Alexandria, relaxed with GGA-PBE

Most intense lines, 10° ≤ 2θ ≤ 80°, by angle:
| hkl | Position (°2θ) | Rel. int. |
| --- | --- | --- |
| 0 0 2 | 31.64 | 76 |
| 1 1 -1 | 31.88 | 74 |
| 1 1 1 | 36.83 | 100 |
| 3 1 -1 | 53.08 | 46 |
| 1 1 3 | 62.97 | 23 |
| 0 2 2 | 63.40 | 22 |

Structure:
a = 5.986 Å, b = 3.432 Å, c = 5.990 Å
α = 90.00°, β = 109.16°, γ = 90.00°
Space group P2/m (No. 10)
One atom of each set of equivalent atoms:
Pm 0.000 0.000 0.000 (multiplicity 1)
Hf 0.000 0.500 0.500 (multiplicity 1)
Pa 0.500 0.000 0.500 (multiplicity 1)
Pa 0.500 0.500 0.000 (multiplicity 1)
N 0.237 0.000 0.724 (multiplicity 2)
N 0.252 0.500 0.277 (multiplicity 2)

Computed powder X-ray diffraction pattern
Compound: ErFe4Tc
Radiation: a wavelength of 1.5418 Å
Structure: a crystal structure in Alexandria, relaxed with GGA-PBE

Most intense lines, 10° ≤ 2θ ≤ 80°, by angle:
| hkl | Position (°2θ) | Rel. int. |
| --- | --- | --- |
| 2 2 0 | 36.55 | 59 |
| 3 1 1 | 43.14 | 100 |
| 2 2 2 | 45.16 | 18 |
| 4 2 2 | 65.79 | 21 |
| 5 1 1 | 70.34 | 30 |
| 4 4 0 | 77.67 | 21 |

Structure:
a = 6.954 Å, b = 6.954 Å, c = 6.954 Å
α = 90.00°, β = 90.00°, γ = 90.00°
Space group F-43m (No. 216)
One atom of each set of equivalent atoms:
Er 0.000 0.000 0.000 (multiplicity 4)
Fe 0.124 0.124 0.624 (multiplicity 16)
Tc 0.250 0.250 0.250 (multiplicity 4)

Computed powder X-ray diffraction pattern
Compound: Nd12YSc6
Radiation: a wavelength of 1.5418 Å
Structure: a crystal structure in Alexandria, relaxed with GGA-PBE

Most intense lines, 10° ≤ 2θ ≤ 80°, by angle:
| hkl | Position (°2θ) | Rel. int. |
| --- | --- | --- |
| 2 2 2 | 28.93 | 100 |
| 3 1 2 | 31.31 | 98 |
| 4 0 0 | 33.53 | 54 |
| 5 3 0 | 49.74 | 28 |
| 5 2 3 | 52.79 | 38 |
| 5 3 4 | 61.32 | 23 |

Structure:
a = 10.690 Å, b = 10.690 Å, c = 10.690 Å
α = 90.00°, β = 90.00°, γ = 90.00°
Space group Im-3 (No. 204)
One atom of each set of equivalent atoms:
Nd 0.000 0.269 0.199 (multiplicity 24)
Y 0.000 0.000 0.000 (multiplicity 2)
Sc 0.000 0.138 0.500 (multiplicity 12)

Computed powder X-ray diffraction pattern
Compound: PmTh3N4
Radiation: a wavelength of 1.5418 Å
Structure: a crystal structure in Alexandria, relaxed with GGA-PBE

Most intense lines, 10° ≤ 2θ ≤ 80°, by angle:
| hkl | Position (°2θ) | Rel. int. |
| --- | --- | --- |
| 1 1 1 | 30.00 | 100 |
| 2 0 0 | 34.78 | 67 |
| 2 2 0 | 50.01 | 48 |
| 3 1 1 | 59.43 | 47 |
| 2 2 2 | 62.36 | 17 |
| 4 0 0 | 73.42 | 8 |

Structure:
a = 5.159 Å, b = 5.159 Å, c = 5.159 Å
α = 90.00°, β = 90.00°, γ = 90.00°
Space group Pm-3m (No. 221)
One atom of each set of equivalent atoms:
Pm 0.000 0.000 0.000 (multiplicity 1)
Th 0.000 0.500 0.500 (multiplicity 3)
N 0.000 0.000 0.500 (multiplicity 3)
N 0.500 0.500 0.500 (multiplicity 1)

Computed powder X-ray diffraction pattern
Compound: Hf3TiFe
Radiation: a wavelength of 1.5418 Å
Structure: a crystal structure in Alexandria, relaxed with GGA-PBE

Most intense lines, 10° ≤ 2θ ≤ 80°, by angle:
| hkl | Position (°2θ) | Rel. int. |
| --- | --- | --- |
| 2 2 0 | 31.33 | 84 |
| 0 3 1 | 35.76 | 34 |
| 0 2 2 | 36.82 | 54 |
| 2 0 2 | 37.50 | 100 |
| 2 3 1 | 42.70 | 36 |
| 4 0 0 | 46.05 | 28 |

Structure:
a = 7.884 Å, b = 8.281 Å, c = 6.043 Å
α = 90.00°, β = 90.00°, γ = 90.00°
Space group Imma (No. 74)
One atom of each set of equivalent atoms:
Hf 0.000 0.250 0.009 (multiplicity 4)
Hf 0.250 0.048 0.750 (multiplicity 8)
Ti 0.000 0.250 0.491 (multiplicity 4)
Fe 0.250 0.250 0.250 (multiplicity 4)

Computed powder X-ray diffraction pattern
Compound: NaNb4O6
Radiation: a wavelength of 1.5418 Å
Structure: a crystal structure in Alexandria, relaxed with GGA-PBE

Most intense lines, 10° ≤ 2θ ≤ 80°, by angle:
| hkl | Position (°2θ) | Rel. int. |
| --- | --- | --- |
| 0 0 1 | 10.69 | 100 |
| 1 0 0 | 21.21 | 50 |
| 1 0 2 | 30.37 | 67 |
| 1 1 1 | 32.10 | 62 |
| 1 1 2 | 37.35 | 55 |
| 2 0 0 | 43.20 | 67 |

Structure:
a = 4.188 Å, b = 4.188 Å, c = 8.273 Å
α = 90.00°, β = 90.00°, γ = 90.00°
Space group P4/mmm (No. 123)
One atom of each set of equivalent atoms:
Na 0.000 0.000 0.000 (multiplicity 1)
Nb 0.000 0.500 0.500 (multiplicity 2)
Nb 0.500 0.500 0.242 (multiplicity 2)
O 0.000 0.000 0.500 (multiplicity 1)
O 0.000 0.500 0.243 (multiplicity 4)
O 0.500 0.500 0.000 (multiplicity 1)